# 1
For BaEr, a crystal structure in OQMD, relaxed with GGA-PBE gives the computed powder XRD pattern in this record (CuKα).
Lines closer than 0.1° are merged.

Crystal structure
```
data_BaEr
_chemical_formula_sum 'Ba1 Er1'
_cell_length_a 3.8244
_cell_length_b 3.8244
_cell_length_c 6.4255
_cell_angle_alpha 90.00
_cell_angle_beta 90.00
_cell_angle_gamma 120.00
_symmetry_space_group_name_H-M 'P -6 m 2'
_symmetry_Int_Tables_number 187
_symmetry_space_group_name_Hall 'P -6 2'
loop_
_atom_site_label
_atom_site_type_symbol
_atom_site_fract_x
_atom_site_fract_y
_atom_site_fract_z
_atom_site_occupancy
Ba1 Ba 0.0000 0.0000 0.0000 1
Er1 Er 0.6667 0.3333 0.5000 1
```

Most intense lines, 2θ from 5° to 70°, most intense first:
2θ/deg	intensity	hkl
30.36	100	1 0 1
27.77	28	0 0 2
50.76	24	1 0 3
55.96	24	1 1 2
26.92	23	1 0 0
47.55	19	1 1 0
39.06	17	1 0 2
57.47	16	2 0 1
63.17	4	2 0 2
64.47	4	1 0 4
57.36	4	0 0 4
55.49	3	2 0 0

# 2
For Ba6Er2Ga4O15, a crystal structure in OQMD, relaxed with GGA-PBE gives the computed powder XRD pattern in this record (CuKα).
Lines closer than 0.1° are merged.

Crystal structure
```
data_Ba6Er2Ga4O15
_chemical_formula_sum 'Ba12 Er4 Ga8 O30'
_cell_length_a 7.9374
_cell_length_b 5.9571
_cell_length_c 18.4180
_cell_angle_alpha 90.00
_cell_angle_beta 91.37
_cell_angle_gamma 90.00
_symmetry_space_group_name_H-M 'P 1 2/c 1'
_symmetry_Int_Tables_number 13
loop_
_symmetry_equiv_pos_as_xyz
'x,y,z'
'-x,-y,-z'
'-x,y,-z+1/2'
'x,-y,z+1/2'
loop_
_atom_site_label
_atom_site_type_symbol
_atom_site_fract_x
_atom_site_fract_y
_atom_site_fract_z
_atom_site_occupancy
Ba1 Ba 0.0000 0.1732 0.2500 1
Ba2 Ba 0.0007 0.2551 0.5779 1
Ba3 Ba 0.4750 0.2513 0.9101 1
Ba4 Ba 0.5000 0.2184 0.2500 1
Er1 Er 0.2533 0.2481 0.0898 1
Ga1 Ga 0.2551 0.2459 0.4412 1
Ga2 Ga 0.2685 0.2733 0.7337 1
O1 O 0.0307 0.2565 0.4096 1
O2 O 0.1903 0.1615 0.8181 1
O3 O 0.2206 0.4571 0.1895 1
O4 O 0.2519 0.0475 0.6629 1
O5 O 0.2672 0.0138 0.9982 1
O6 O 0.2679 0.4864 0.5082 1
O7 O 0.4553 0.2674 0.3911 1
O8 O 0.5000 0.3061 0.7500 1
```

Most intense lines, 2θ from 5° to 70°, most intense first:
2θ/deg	intensity	hkl
30.48	100	2 1 -3
31.01	96	2 1 3
30.00	54	0 2 0
29.10	50	0 0 6
42.29	46	0 2 6
45.73	22	4 0 0
53.89	19	2 3 3
52.11	18	2 1 -9
55.67	18	4 2 0
53.57	18	2 3 -3
53.13	15	2 1 9
63.44	14	4 2 -6

# 3
For BaLiErSe3, a crystal structure in OQMD, relaxed with GGA-PBE gives the computed powder XRD pattern in this record (CuKα).
Lines closer than 0.1° are merged.

Crystal structure
```
data_BaLiErSe3
_chemical_formula_sum 'Ba2 Li2 Er2 Se6'
_cell_length_a 8.7819
_cell_length_b 4.2333
_cell_length_c 9.2822
_cell_angle_alpha 90.00
_cell_angle_beta 105.79
_cell_angle_gamma 90.00
_symmetry_space_group_name_H-M 'P 1 21/m 1'
_symmetry_Int_Tables_number 11
loop_
_symmetry_equiv_pos_as_xyz
'x,y,z'
'-x,-y,-z'
'-x,y+1/2,-z'
'x,-y+1/2,z'
loop_
_atom_site_label
_atom_site_type_symbol
_atom_site_fract_x
_atom_site_fract_y
_atom_site_fract_z
_atom_site_occupancy
Ba1 Ba 0.2003 0.2500 0.2469 1
Li1 Li 0.0858 0.2500 0.5924 1
Er1 Er 0.3259 0.7500 0.8435 1
Se1 Se 0.1135 0.2500 0.8696 1
Se2 Se 0.2136 0.7500 0.5279 1
Se3 Se 0.4537 0.7500 0.1631 1
```

Most intense lines, 2θ from 5° to 70°, most intense first:
2θ/deg	intensity	hkl
29.62	100	2 1 -1
29.88	45	2 1 0
30.01	34	0 0 3
9.90	34	0 0 1
42.72	27	0 2 0
36.03	24	1 1 -3
39.36	24	2 1 2
19.86	23	0 0 2
21.03	22	2 0 0
47.71	22	3 1 2
23.25	21	0 1 1
41.14	19	4 0 -1

# 4
For BaEr2O4, a crystal structure in OQMD, relaxed with GGA-PBE gives the computed powder XRD pattern in this record (CuKα).
Lines closer than 0.1° are merged.

Crystal structure
Cell: 9.8750 9.8750 9.8750 Å, 90.00 90.00 90.00°
Space group Fd-3m (No. 227, origin choice 2)
One atom of each set of equivalent atoms:
Ba  0.1250  0.1250  0.1250
Er  0.0000  0.0000  0.5000
O  0.0212  0.0212  0.7288

Most intense lines, 2θ from 5° to 70°, most intense first:
2θ/deg	intensity	hkl
30.01	100	3 1 1
52.41	42	4 4 0
47.86	42	5 1 1
31.38	33	2 2 2
25.51	22	2 2 0
15.54	19	1 1 1
62.38	17	6 2 2
36.39	15	4 0 0
61.58	14	5 3 3
44.97	8	4 2 2
55.01	4	5 3 1
59.17	3	6 2 0

# 5
For BaEr4Si5O17, a crystal structure in OQMD, relaxed with GGA-PBE gives the computed powder XRD pattern in this record (CuKα).
Lines closer than 0.1° are merged.

Crystal structure
```
data_BaEr4Si5O17
_chemical_formula_sum 'Ba2 Er8 Si10 O34'
_cell_length_a 5.4918
_cell_length_b 19.6600
_cell_length_c 6.8336
_cell_angle_alpha 90.00
_cell_angle_beta 106.64
_cell_angle_gamma 90.00
_symmetry_space_group_name_H-M 'P 1 21/m 1'
_symmetry_Int_Tables_number 11
loop_
_symmetry_equiv_pos_as_xyz
'x,y,z'
'-x,-y,-z'
'-x,y+1/2,-z'
'x,-y+1/2,z'
loop_
_atom_site_label
_atom_site_type_symbol
_atom_site_fract_x
_atom_site_fract_y
_atom_site_fract_z
_atom_site_occupancy
Ba1 Ba 0.2389 0.2500 0.3156 1
Er1 Er 0.3015 0.0390 0.6184 1
Er2 Er 0.3540 0.6589 0.0201 1
Si1 Si 0.0661 0.2500 0.7809 1
Si2 Si 0.1984 0.0614 0.0966 1
Si3 Si 0.2307 0.6352 0.4955 1
O1 O 0.0000 0.0000 0.0000 1
O2 O 0.0228 0.1827 0.6293 1
O3 O 0.0413 0.1295 0.1152 1
O4 O 0.1023 0.5623 0.5214 1
O5 O 0.1369 0.7500 0.0859 1
O6 O 0.3617 0.2500 0.9209 1
O7 O 0.3653 0.6740 0.7071 1
O8 O 0.3732 0.0733 0.9399 1
O9 O 0.3788 0.0348 0.3167 1
O10 O 0.4238 0.6298 0.3518 1
```

Most intense lines, 2θ from 5° to 70°, most intense first:
2θ/deg	intensity	hkl
28.34	100	1 5 0
16.27	38	0 2 1
29.15	32	1 2 -2
26.20	31	1 2 1
30.52	24	0 3 2
22.62	23	0 4 1
28.05	23	1 1 -2
41.27	22	2 5 0
18.91	22	1 1 -1
52.39	17	2 7 1
33.18	16	2 1 -1
32.87	15	0 4 2

# 6
For BaEr2P2, a crystal structure in OQMD, relaxed with GGA-PBE gives the computed powder XRD pattern in this record (CuKα).
Lines closer than 0.1° are merged.

Crystal structure
```
data_BaEr2P2
_chemical_formula_sum 'Ba1 Er2 P2'
_cell_length_a 4.5067
_cell_length_b 4.5067
_cell_length_c 8.1781
_cell_angle_alpha 90.00
_cell_angle_beta 90.00
_cell_angle_gamma 120.00
_symmetry_space_group_name_H-M 'P -3 m 1'
_symmetry_Int_Tables_number 164
_symmetry_space_group_name_Hall '-P 3 2"'
loop_
_atom_site_label
_atom_site_type_symbol
_atom_site_fract_x
_atom_site_fract_y
_atom_site_fract_z
_atom_site_occupancy
Ba1 Ba 0.0000 0.0000 0.0000 1
Er1 Er 0.3333 0.6667 0.6321 1
P1 P 0.3333 0.6667 0.2662 1
```

Most intense lines, 2θ from 5° to 70°, most intense first:
2θ/deg	intensity	hkl
25.28	100	1 0 1
31.69	70	0 1 2
40.01	48	1 1 0
52.70	27	1 1 3
47.93	18	0 2 1
51.92	18	2 0 2
40.36	17	0 1 3
32.85	17	0 0 3
67.50	16	1 2 2
64.15	15	2 1 1
50.39	13	1 0 4
10.82	12	0 0 1